1.
This entry pairs a crystal structure of Os4S with its simulated X-ray powder pattern. Radiation: Cu Ka. Structure: a GGA-PBE-relaxed structure.
Intensities are scaled so that the largest is 100.

Largest 7 diffraction maxima, most intense first, 10 to 90 degrees two-theta:
2theta	I_rel
36.27	100
42.13	59
73.17	40
61.10	40
77.00	14
20.70	1
29.44	1

Structure:
Unit cell a=4.2900 b=4.2900 c=4.2900 alpha=90.00 beta=90.00 gamma=90.00
Element x y z (fractional)
Os1 0.0000 0.0000 0.0000
Os2 0.0000 0.5000 0.5000
Os3 0.5000 0.0000 0.5000
Os4 0.5000 0.5000 0.0000
S1 0.5000 0.5000 0.5000

---

2.
This entry pairs a crystal structure of Th8Os4SeS3 with its simulated X-ray powder pattern. Radiation: Cu Ka. Structure: a GGA-PBE-relaxed structure.
Intensities are scaled so that the largest is 100.

Largest 10 diffraction maxima, most intense first, 10 to 90 degrees two-theta:
2theta	I_rel
30.15	100
44.21	37
42.09	36
12.31	29
54.44	19
72.64	17
26.44	14
69.57	13
38.70	13
79.88	12

Structure:
Unit cell a=8.6077 b=8.6077 c=8.6077 alpha=56.85 beta=56.85 gamma=56.85
Element x y z (fractional)
Th1 0.2407 0.2407 0.2407
Th2 0.2425 0.7386 0.7386
Th3 0.2614 0.2614 0.7575
Th4 0.2614 0.7575 0.2614
Th5 0.7386 0.2425 0.7386
Th6 0.7386 0.7386 0.2425
Th7 0.7575 0.2614 0.2614
Th8 0.7593 0.7593 0.7593
Os1 0.0000 0.0000 0.5000
Os2 0.0000 0.5000 0.0000
Os3 0.5000 0.0000 0.0000
Os4 0.5000 0.5000 0.5000
Se1 0.0000 0.0000 0.0000
S1 0.0000 0.5000 0.5000
S2 0.5000 0.0000 0.5000
S3 0.5000 0.5000 0.0000

---

3.
This entry pairs a crystal structure of Sr4Os2S with its simulated X-ray powder pattern. Radiation: Cu Ka. Structure: a GGA-PBE-relaxed structure.
Intensities are scaled so that the largest is 100.

Largest 10 diffraction maxima, most intense first, 10 to 90 degrees two-theta:
2theta	I_rel
30.32	100
16.25	83
21.31	68
34.71	63
46.75	54
12.31	53
32.87	38
43.41	37
34.59	28
43.57	27

Structure:
Unit cell a=5.8959 b=5.8959 c=14.3751 alpha=90.00 beta=90.00 gamma=90.00
Element x y z (fractional)
Sr1 0.0000 0.0000 0.1990
Sr2 0.0000 0.0000 0.8010
Sr3 0.0000 0.5000 0.0000
Sr4 0.0000 0.5000 0.5000
Sr5 0.5000 0.0000 0.0000
Sr6 0.5000 0.0000 0.5000
Sr7 0.5000 0.5000 0.3010
Sr8 0.5000 0.5000 0.6990
Os1 0.0000 0.0000 0.4201
Os2 0.0000 0.0000 0.5799
Os3 0.5000 0.5000 0.0799
Os4 0.5000 0.5000 0.9201
S1 0.0000 0.0000 0.0000
S2 0.5000 0.5000 0.5000